Starting from DFT lattice parameters and positions (PBE), the powder diffractogram of BaNb2Bi2O9 was computed for λ = 1.5418 Å (Cu Kα).
No peak broadening, texture or thermal motion is included.

Crystal structure
```
data_BaNb2Bi2O9
_chemical_formula_sum 'Ba2 Nb4 Bi4 O18'
_cell_length_a 3.960
_cell_length_b 3.960
_cell_length_c 24.765
_cell_angle_alpha 90.00
_cell_angle_beta 90.00
_cell_angle_gamma 90.00
_space_group_name_H-M_alt 'I 4/m m m'
_space_group_IT_number 139
_space_group_name_Hall '-I 4 2'
loop_
_atom_site_label
_atom_site_type_symbol
_atom_site_fract_x
_atom_site_fract_y
_atom_site_fract_z
_atom_site_occupancy
Ba1 Ba 0.000 0.000 0.000 1
Nb1 Nb 0.000 0.000 0.410 1
Bi1 Bi 0.000 0.000 0.201 1
O1 O 0.000 0.000 0.334 1
O2 O 0.000 0.000 0.500 1
O3 O 0.000 0.500 0.082 1
O4 O 0.000 0.500 0.250 1
```

Largest 6 diffraction maxima, by angle, 10° ≤ 2θ ≤ 90°:
- hkl 1 0 5, 28.9°, I = 100
- hkl 1 1 0, 32.0°, I = 37
- hkl 0 0 10, 36.3°, I = 13
- hkl 2 0 0, 45.8°, I = 22
- hkl 1 1 10, 49.1°, I = 23
- hkl 2 1 5, 55.1°, I = 35